Structure and computed powder diffraction line list of Na2W3O10 (the GGA+U geometry in Alexandria; λ = 1.5418 Å (Cu Kα)).
No peak broadening, texture or thermal motion is included.

Structure:
```
data_Na2W3O10
_symmetry_space_group_name_H-M 'C 1 2/c 1'
_symmetry_Int_Tables_number 15
_cell_length_a 14.103
_cell_length_b 8.399
_cell_length_c 8.041
_cell_angle_alpha 90.00
_cell_angle_beta 99.29
_cell_angle_gamma 90.00
loop_
_symmetry_equiv_pos_as_xyz
'x,y,z'
'-x,-y,-z'
'-x,y,-z+1/2'
'x,-y,z+1/2'
'x+1/2,y+1/2,z'
'-x+1/2,-y+1/2,-z'
'-x+1/2,y+1/2,-z+1/2'
'x+1/2,-y+1/2,z+1/2'
loop_
_atom_site_label
_atom_site_fract_x
_atom_site_fract_y
_atom_site_fract_z
Na1 0.171 0.064 0.171
W1 0.000 0.192 0.750
W2 0.105 0.410 0.488
O1 0.029 0.397 0.918
O2 0.066 0.061 0.899
O3 0.111 0.315 0.294
O4 0.118 0.238 0.649
O5 0.220 0.499 0.547
```

Principal peaks in the range 10 to 80 degrees two-theta, by angle:
hkl 1 1 0, 7.191 Å, I = 71; hkl 2 0 0, 6.959 Å, I = 89; hkl 1 1 1, 5.120 Å, I = 97; hkl 1 1 -2, 3.602 Å, I = 47; hkl 3 1 1, 3.424 Å, I = 66; hkl 2 2 -1, 3.383 Å, I = 100; hkl 1 1 2, 3.357 Å, I = 55; hkl 0 2 2, 2.884 Å, I = 34; hkl 4 0 -2, 2.854 Å, I = 41; hkl 5 1 0, 2.642 Å, I = 37